The following is a computed X-ray diffraction stick pattern of Ho5Co4Si14. It was derived from DFT lattice parameters and positions (GGA-PBE), using Cu Kα (λ = 1.5418 Å).

Structure:
```
data_Ho5Co4Si14
_chemical_formula_sum 'Ho10 Co8 Si28'
_space_group_name_H-M_alt 'P 1 21/c 1'
_space_group_IT_number 14
_space_group_name_Hall '-P 2ybc'
_cell_length_a 12.3546
_cell_length_b 7.8102
_cell_length_c 7.7255
_cell_angle_alpha 90.00
_cell_angle_beta 98.78
_cell_angle_gamma 90.00
loop_
_atom_site_label
_atom_site_type_symbol
_atom_site_fract_x
_atom_site_fract_y
_atom_site_fract_z
_atom_site_occupancy
Ho1 Ho 0.0000 0.0000 0.0000 1
Ho2 Ho 0.3641 0.2482 0.3422 1
Ho3 Ho 0.3644 0.7489 0.3394 1
Co1 Co 0.9996 0.1273 0.6283 1
Co2 Co 0.2484 0.9999 0.0605 1
Si1 Si 0.0001 0.1656 0.3347 1
Si2 Si 0.1764 0.2260 0.5500 1
Si3 Si 0.1765 0.7261 0.0375 1
Si4 Si 0.1767 0.0057 0.7681 1
Si5 Si 0.1771 0.5059 0.8183 1
Si6 Si 0.4394 0.0002 0.1092 1
Si7 Si 0.4418 0.0004 0.6122 1
```

Principal peaks in the range 10 to 90 degrees two-theta, sorted by position:
h k l, two_theta, intensity
3 0 0, 21.84, 40
1 2 0, 23.92, 36
1 0 2, 25.52, 55
3 2 0, 31.76, 20
0 2 2, 32.82, 22
1 2 2, 34.47, 47
5 0 0, 36.81, 36
4 2 0, 37.39, 45
3 2 -2, 37.58, 100
1 4 -4, 68.33, 23